This entry pairs a crystal structure of Tm4Ge2C with its theoretical powder diffraction line list. Radiation: a wavelength of 1.5418 Å. Structure: a PBE-relaxed structure.
Intensities are scaled so that the largest is 100.

Crystal structure
Cell lengths 6.5045, 14.8560, 6.6013 Å; angles 90.00, 90.00, 90.00 degrees
Space group Cmce (No. 64)
Symmetry-distinct sites (fractional):
Tm 0.0000 0.1674 0.0334 (multiplicity 8)
Tm 0.2500 0.0087 0.7500 (multiplicity 8)
Ge 0.0000 0.1369 0.4872 (multiplicity 8)
C 0.0000 0.0000 0.0000 (multiplicity 4)

Most intense lines, 2θ = 10–90°, sorted by position:
hkl 0 2 2, 2θ = 29.62°, intensity 79; hkl 2 2 0, 2θ = 29.99°, intensity 81; hkl 0 6 0, 2θ = 36.28°, intensity 49; hkl 0 4 2, 2θ = 36.42°, intensity 67; hkl 2 4 0, 2θ = 36.73°, intensity 69; hkl 2 0 2, 2θ = 38.87°, intensity 100; hkl 2 6 2, 2θ = 54.22°, intensity 64; hkl 4 6 0, 2θ = 69.16°, intensity 36

---

This entry pairs a crystal structure of SrZrTc4 with its theoretical powder diffraction line list. Radiation: a wavelength of 1.5418 Å. Structure: a PBE-relaxed structure.
Intensities are scaled so that the largest is 100.

Crystal structure
Cell lengths 7.6372, 7.6372, 7.6372 Å; angles 90.00, 90.00, 90.00 degrees
Space group F-43m (No. 216)
Symmetry-distinct sites (fractional):
Sr 0.0000 0.0000 0.0000 (multiplicity 4)
Zr 0.2500 0.2500 0.2500 (multiplicity 4)
Tc 0.1245 0.1245 0.6245 (multiplicity 16)

Most intense lines, 2θ = 10–90°, sorted by position:
hkl 1 1 1, 2θ = 20.14°, intensity 10; hkl 2 2 0, 2θ = 33.18°, intensity 24; hkl 3 1 1, 2θ = 39.12°, intensity 100; hkl 2 2 2, 2θ = 40.94°, intensity 44; hkl 5 1 1, 2θ = 63.27°, intensity 31; hkl 4 4 0, 2θ = 69.64°, intensity 28; hkl 5 3 3, 2θ = 82.89°, intensity 11; hkl 6 2 2, 2θ = 84.07°, intensity 16

---

This entry pairs a crystal structure of Dy2ThHg4 with its theoretical powder diffraction line list. Radiation: a wavelength of 1.5418 Å. Structure: a PBE-relaxed structure.
Intensities are scaled so that the largest is 100.

Crystal structure
Cell lengths 5.2124, 5.2124, 7.3403 Å; angles 90.00, 90.00, 90.00 degrees
Space group P4/mmm (No. 123)
Symmetry-distinct sites (fractional):
Dy 0.0000 0.0000 0.0000 (multiplicity 1)
Dy 0.5000 0.5000 0.5000 (multiplicity 1)
Th 0.0000 0.0000 0.5000 (multiplicity 1)
Hg 0.0000 0.5000 0.2289 (multiplicity 4)

Most intense lines, 2θ = 10–90°, sorted by position:
hkl 1 1 1, 2θ = 27.07°, intensity 8; hkl 2 0 0, 2θ = 34.46°, intensity 100; hkl 2 2 0, 2θ = 49.46°, intensity 13; hkl 0 0 4, 2θ = 49.68°, intensity 5; hkl 3 1 2, 2θ = 61.69°, intensity 25; hkl 2 0 4, 2θ = 61.83°, intensity 11; hkl 2 2 4, 2θ = 72.72°, intensity 7; hkl 4 2 0, 2θ = 82.84°, intensity 12

---

This entry pairs a crystal structure of LiSm2H6Ru with its theoretical powder diffraction line list. Radiation: a wavelength of 1.5418 Å. Structure: a PBE-relaxed structure.
Intensities are scaled so that the largest is 100.

Crystal structure
Cell lengths 4.9774, 4.9774, 4.9568 Å; angles 90.00, 90.00, 120.00 degrees
Space group P-3m1 (No. 164)
Symmetry-distinct sites (fractional):
Li 0.0000 0.0000 0.0000 (multiplicity 1)
Sm 0.3333 0.6667 0.7396 (multiplicity 2)
H 0.1641 0.3283 0.2758 (multiplicity 6)
Ru 0.0000 0.0000 0.5000 (multiplicity 1)

Most intense lines, 2θ = 10–90°, sorted by position:
hkl 0 1 1, 2θ = 27.42°, intensity 100; hkl 1 1 0, 2θ = 36.09°, intensity 54; hkl 0 1 2, 2θ = 42.05°, intensity 29; hkl 2 0 1, 2θ = 45.91°, intensity 26; hkl 2 0 2, 2θ = 56.59°, intensity 12; hkl 1 2 1, 2θ = 59.75°, intensity 23; hkl 1 0 3, 2θ = 59.96°, intensity 12; hkl 1 2 2, 2θ = 68.98°, intensity 13